[1]
Computed X-ray diffraction stick pattern of Ac2Zn3Sn4Ir for λ = 1.5418 Å (Cu Kα), from a structure optimized by DFT (GGA-PBE).
No peak broadening, texture or thermal motion is included.

Cell and atoms:
```
data_Ac2Zn3Sn4Ir
_cell_length_a 4.7330
_cell_length_b 4.7330
_cell_length_c 10.9592
_cell_angle_alpha 90.00
_cell_angle_beta 90.00
_cell_angle_gamma 90.00
_space_group_name_H-M_alt 'P -4 m 2'
_space_group_IT_number 115
loop_
_space_group_symop_operation_xyz
'x,y,z'
'y,-x,-z'
'-x,-y,z'
'-y,x,-z'
'-x,y,z'
'-y,-x,-z'
'x,-y,z'
'y,x,-z'
loop_
_atom_site_label
_atom_site_type_symbol
_atom_site_fract_x
_atom_site_fract_y
_atom_site_fract_z
_atom_site_occupancy
Ac1 Ac 0.0000 0.5000 0.2297 1
Zn1 Zn 0.0000 0.0000 0.0000 1
Zn2 Zn 0.0000 0.5000 0.6391 1
Sn1 Sn 0.0000 0.0000 0.5000 1
Sn2 Sn 0.0000 0.5000 0.8804 1
Sn3 Sn 0.5000 0.5000 0.5000 1
Ir1 Ir 0.5000 0.5000 0.0000 1
```

Top 10 peaks for 10° ≤ 2θ ≤ 80°, by intensity:
- 31.32°, I 100, hkl 1 1 2
- 38.02°, I 67, hkl 2 0 0
- 30.92°, I 54, hkl 1 0 3
- 49.79°, I 30, hkl 2 1 3
- 54.85°, I 26, hkl 2 2 0
- 64.55°, I 26, hkl 3 1 2
- 45.62°, I 18, hkl 1 0 5
- 60.84°, I 15, hkl 2 1 5
- 57.48°, I 13, hkl 1 1 6
- 42.65°, I 13, hkl 1 1 4

[2]
Computed X-ray diffraction stick pattern of NaCaAlSi2O7 for λ = 1.5418 Å (Cu Kα), from a structure optimized by DFT (GGA-PBE).
No peak broadening, texture or thermal motion is included.

Cell and atoms:
```
data_NaCaAlSi2O7
_cell_length_a 5.1285
_cell_length_b 7.6959
_cell_length_c 7.7172
_cell_angle_alpha 90.00
_cell_angle_beta 91.45
_cell_angle_gamma 90.00
_space_group_name_H-M_alt 'P 1 21 1'
_space_group_IT_number 4
loop_
_space_group_symop_operation_xyz
'x,y,z'
'-x,y+1/2,-z'
loop_
_atom_site_label
_atom_site_type_symbol
_atom_site_fract_x
_atom_site_fract_y
_atom_site_fract_z
_atom_site_occupancy
Na1 Na 0.0081 0.0000 0.4303 1
Ca1 Ca 0.0133 0.6834 0.0935 1
Al1 Al 0.4994 0.8369 0.7538 1
Si1 Si 0.4493 0.4796 0.8953 1
Si2 Si 0.4586 0.1955 0.6115 1
O1 O 0.2297 0.6903 0.3697 1
O2 O 0.2391 0.9791 0.0831 1
O3 O 0.2945 0.4142 0.0719 1
O4 O 0.3127 0.0154 0.6765 1
O5 O 0.3129 0.6686 0.8492 1
O6 O 0.3286 0.3444 0.7446 1
O7 O 0.3334 0.2435 0.4197 1
```

Top 10 peaks for 10° ≤ 2θ ≤ 80°, by intensity:
- 31.12°, I 100, hkl 1 2 -1
- 30.92°, I 85, hkl 1 1 -2
- 31.59°, I 70, hkl 1 1 2
- 31.46°, I 70, hkl 1 2 1
- 17.30°, I 54, hkl 1 0 0
- 36.89°, I 49, hkl 0 1 3
- 24.05°, I 36, hkl 1 1 1
- 25.85°, I 32, hkl 0 1 2
- 50.24°, I 30, hkl 0 3 3
- 29.01°, I 29, hkl 1 2 0

[3]
Computed X-ray diffraction stick pattern of CeSmHo3 for λ = 1.5418 Å (Cu Kα), from a structure optimized by DFT (GGA-PBE).
No peak broadening, texture or thermal motion is included.

Cell and atoms:
```
data_CeSmHo3
_cell_length_a 7.0795
_cell_length_b 3.5500
_cell_length_c 24.8904
_cell_angle_alpha 90.00
_cell_angle_beta 90.00
_cell_angle_gamma 90.00
_space_group_name_H-M_alt 'P n m a'
_space_group_IT_number 62
loop_
_space_group_symop_operation_xyz
'x,y,z'
'-x,-y,-z'
'-x+1/2,-y,z+1/2'
'x+1/2,y,-z+1/2'
'x+1/2,-y+1/2,-z+1/2'
'-x+1/2,y+1/2,z+1/2'
'-x,y+1/2,-z'
'x,-y+1/2,z'
loop_
_atom_site_label
_atom_site_type_symbol
_atom_site_fract_x
_atom_site_fract_y
_atom_site_fract_z
_atom_site_occupancy
Ce1 Ce 0.1228 0.2500 0.1516 1
Sm1 Sm 0.1305 0.2500 0.5518 1
Ho1 Ho 0.1214 0.2500 0.9478 1
Ho2 Ho 0.1240 0.2500 0.3495 1
Ho3 Ho 0.1269 0.2500 0.7497 1
```

Top 10 peaks for 10° ≤ 2θ ≤ 80°, by intensity:
- 30.97°, I 100, hkl 2 0 5
- 35.82°, I 34, hkl 2 1 0
- 51.76°, I 24, hkl 2 1 10
- 36.09°, I 17, hkl 0 0 10
- 61.32°, I 14, hkl 2 2 5
- 61.43°, I 14, hkl 4 1 5
- 61.72°, I 14, hkl 2 0 15
- 64.48°, I 6, hkl 0 2 10
- 51.48°, I 6, hkl 0 2 0
- 64.62°, I 6, hkl 4 0 10

[4]
Computed X-ray diffraction stick pattern of SmThHg for λ = 1.5418 Å (Cu Kα), from a structure optimized by DFT (GGA-PBE).
No peak broadening, texture or thermal motion is included.

Cell and atoms:
```
data_SmThHg
_cell_length_a 3.6239
_cell_length_b 17.6448
_cell_length_c 5.5602
_cell_angle_alpha 90.00
_cell_angle_beta 90.00
_cell_angle_gamma 90.00
_space_group_name_H-M_alt 'C m c m'
_space_group_IT_number 63
_space_group_name_Hall '-C 2c 2'
loop_
_atom_site_label
_atom_site_type_symbol
_atom_site_fract_x
_atom_site_fract_y
_atom_site_fract_z
_atom_site_occupancy
Sm1 Sm 0.0000 0.0866 0.2500 1
Th1 Th 0.0000 0.2260 0.7500 1
Hg1 Hg 0.0000 0.4351 0.2500 1
```

Top 10 peaks for 10° ≤ 2θ ≤ 80°, by intensity:
- 33.21°, I 100, hkl 1 3 1
- 32.20°, I 31, hkl 0 0 2
- 30.39°, I 21, hkl 0 6 0
- 58.06°, I 21, hkl 1 3 3
- 34.50°, I 16, hkl 0 6 1
- 44.87°, I 15, hkl 0 6 2
- 61.04°, I 10, hkl 2 0 2
- 63.48°, I 10, hkl 1 9 2
- 50.36°, I 9, hkl 2 0 0
- 53.11°, I 8, hkl 1 9 0

[5]
Computed X-ray diffraction stick pattern of SnSb2Pd7Pb2 for λ = 1.5418 Å (Cu Kα), from a structure optimized by DFT (GGA-PBE).
No peak broadening, texture or thermal motion is included.

Cell and atoms:
```
data_SnSb2Pd7Pb2
_cell_length_a 5.6429
_cell_length_b 5.6509
_cell_length_c 15.9285
_cell_angle_alpha 90.00
_cell_angle_beta 95.88
_cell_angle_gamma 90.00
_space_group_name_H-M_alt 'C 1 2/m 1'
_space_group_IT_number 12
loop_
_space_group_symop_operation_xyz
'x,y,z'
'-x,-y,-z'
'-x,y,-z'
'x,-y,z'
'x+1/2,y+1/2,z'
'-x+1/2,-y+1/2,-z'
'-x+1/2,y+1/2,-z'
'x+1/2,-y+1/2,z'
loop_
_atom_site_label
_atom_site_type_symbol
_atom_site_fract_x
_atom_site_fract_y
_atom_site_fract_z
_atom_site_occupancy
Sn1 Sn 0.0000 0.0000 0.0000 1
Sb1 Sb 0.1371 0.0000 0.4151 1
Pd1 Pd 0.0000 0.5000 0.0000 1
Pd2 Pd 0.1445 0.5000 0.4268 1
Pd3 Pd 0.2134 0.2500 0.8715 1
Pb1 Pb 0.0720 0.5000 0.2518 1
```

Top 10 peaks for 10° ≤ 2θ ≤ 80°, by intensity:
- 45.51°, I 100, hkl 2 2 -1
- 39.16°, I 55, hkl 0 2 4
- 41.28°, I 49, hkl 2 0 4
- 40.70°, I 40, hkl 2 0 -5
- 42.88°, I 38, hkl 0 2 5
- 39.82°, I 35, hkl 0 0 7
- 22.32°, I 33, hkl 1 1 0
- 25.76°, I 33, hkl 1 1 2
- 24.27°, I 30, hkl 1 1 -2
- 63.83°, I 30, hkl 2 2 -8

[6]
Computed X-ray diffraction stick pattern of Fe3Ni7Ir2 for λ = 1.5418 Å (Cu Kα), from a structure optimized by DFT (GGA-PBE).
No peak broadening, texture or thermal motion is included.

Cell and atoms:
```
data_Fe3Ni7Ir2
_cell_length_a 4.1042
_cell_length_b 2.5701
_cell_length_c 14.0032
_cell_angle_alpha 90.00
_cell_angle_beta 93.43
_cell_angle_gamma 90.00
_space_group_name_H-M_alt 'P 1 2/m 1'
_space_group_IT_number 10
loop_
_space_group_symop_operation_xyz
'x,y,z'
'-x,-y,-z'
'-x,y,-z'
'x,-y,z'
loop_
_atom_site_label
_atom_site_type_symbol
_atom_site_fract_x
_atom_site_fract_y
_atom_site_fract_z
_atom_site_occupancy
Fe1 Fe 0.0000 0.0000 0.0000 1
Fe2 Fe 0.2770 0.5000 0.6283 1
Ni1 Ni 0.1861 0.5000 0.1390 1
Ni2 Ni 0.2427 0.0000 0.4644 1
Ni3 Ni 0.3105 0.0000 0.8350 1
Ni4 Ni 0.5000 0.5000 0.0000 1
Ir1 Ir 0.2060 0.0000 0.2907 1
```

Top 10 peaks for 10° ≤ 2θ ≤ 80°, by intensity:
- 44.26°, I 100, hkl 2 0 -1
- 43.95°, I 100, hkl 1 1 2
- 12.67°, I 75, hkl 0 0 2
- 43.53°, I 67, hkl 1 0 -6
- 43.12°, I 65, hkl 1 1 -2
- 48.56°, I 65, hkl 1 1 -4
- 45.41°, I 59, hkl 0 0 7
- 22.98°, I 59, hkl 1 0 1
- 22.24°, I 51, hkl 1 0 -1
- 43.72°, I 48, hkl 0 1 4

[7]
Computed X-ray diffraction stick pattern of CeZn8Pd4 for λ = 1.5418 Å (Cu Kα), from a structure optimized by DFT (GGA-PBE).
No peak broadening, texture or thermal motion is included.

Cell and atoms:
```
data_CeZn8Pd4
_cell_length_a 8.8531
_cell_length_b 8.8531
_cell_length_c 5.4667
_cell_angle_alpha 90.00
_cell_angle_beta 90.00
_cell_angle_gamma 90.00
_space_group_name_H-M_alt 'I 4/m m m'
_space_group_IT_number 139
_space_group_name_Hall '-I 4 2'
loop_
_atom_site_label
_atom_site_type_symbol
_atom_site_fract_x
_atom_site_fract_y
_atom_site_fract_z
_atom_site_occupancy
Ce1 Ce 0.0000 0.0000 0.0000 1
Zn1 Zn 0.0000 0.2179 0.5000 1
Zn2 Zn 0.0000 0.3501 0.0000 1
Pd1 Pd 0.2500 0.2500 0.2500 1
```

Top 10 peaks for 10° ≤ 2θ ≤ 80°, by intensity:
- 38.72°, I 100, hkl 2 0 2
- 40.26°, I 76, hkl 3 2 1
- 40.77°, I 66, hkl 4 0 0
- 43.98°, I 62, hkl 2 2 2
- 34.54°, I 37, hkl 3 0 1
- 45.84°, I 31, hkl 4 2 0
- 72.85°, I 27, hkl 6 0 2
- 20.06°, I 20, hkl 2 0 0
- 57.48°, I 20, hkl 4 2 2
- 63.58°, I 19, hkl 3 2 3

[8]
Computed X-ray diffraction stick pattern of RbSr2RuO4 for λ = 1.5418 Å (Cu Kα), from a structure optimized by DFT (GGA-PBE).
No peak broadening, texture or thermal motion is included.

Cell and atoms:
```
data_RbSr2RuO4
_cell_length_a 3.6532
_cell_length_b 12.9639
_cell_length_c 12.8539
_cell_angle_alpha 90.00
_cell_angle_beta 90.00
_cell_angle_gamma 90.00
_space_group_name_H-M_alt 'C m c m'
_space_group_IT_number 63
_space_group_name_Hall '-C 2c 2'
loop_
_atom_site_label
_atom_site_type_symbol
_atom_site_fract_x
_atom_site_fract_y
_atom_site_fract_z
_atom_site_occupancy
Rb1 Rb 0.0000 0.0658 0.2500 1
Sr1 Sr 0.0000 0.3708 0.0405 1
Ru1 Ru 0.0000 0.2051 0.7500 1
O1 O 0.0000 0.0000 0.0000 1
O2 O 0.0000 0.2481 0.6060 1
O3 O 0.0000 0.3553 0.2500 1
```

Top 10 peaks for 10° ≤ 2θ ≤ 80°, by intensity:
- 28.94°, I 100, hkl 1 1 2
- 32.85°, I 89, hkl 1 3 1
- 27.76°, I 66, hkl 0 0 4
- 28.40°, I 57, hkl 0 4 1
- 35.06°, I 49, hkl 1 3 2
- 48.13°, I 47, hkl 1 3 5
- 49.92°, I 33, hkl 2 0 0
- 55.63°, I 28, hkl 1 7 0
- 30.90°, I 27, hkl 0 4 2
- 24.91°, I 27, hkl 0 2 3

[9]
Computed X-ray diffraction stick pattern of Sm4InB3Rh12 for λ = 1.5418 Å (Cu Kα), from a structure optimized by DFT (GGA-PBE).
No peak broadening, texture or thermal motion is included.

Cell and atoms:
```
data_Sm4InB3Rh12
_cell_length_a 8.7791
_cell_length_b 8.7791
_cell_length_c 8.7791
_cell_angle_alpha 90.00
_cell_angle_beta 90.00
_cell_angle_gamma 90.00
_space_group_name_H-M_alt 'I m -3 m'
_space_group_IT_number 229
_space_group_name_Hall '-I 4 2 3'
loop_
_atom_site_label
_atom_site_type_symbol
_atom_site_fract_x
_atom_site_fract_y
_atom_site_fract_z
_atom_site_occupancy
Sm1 Sm 0.2500 0.2500 0.2500 1
In1 In 0.0000 0.0000 0.0000 1
B1 B 0.0000 0.0000 0.5000 1
Rh1 Rh 0.0000 0.0000 0.2807 1
Rh2 Rh 0.0000 0.2500 0.5000 1
```

Top 10 peaks for 10° ≤ 2θ ≤ 80°, by intensity:
- 35.42°, I 100, hkl 2 2 2
- 41.13°, I 66, hkl 4 0 0
- 59.57°, I 41, hkl 4 4 0
- 71.25°, I 33, hkl 6 2 2
- 74.95°, I 13, hkl 4 4 4
- 28.76°, I 11, hkl 2 2 0
- 38.36°, I 7, hkl 3 2 1
- 48.65°, I 5, hkl 3 3 2
- 32.24°, I 5, hkl 3 1 0
- 43.75°, I 3, hkl 3 3 0

[10]
Computed X-ray diffraction stick pattern of Rb3Ho2ErTe6 for λ = 1.5418 Å (Cu Kα), from a structure optimized by DFT (GGA-PBE).
No peak broadening, texture or thermal motion is included.

Cell and atoms:
```
data_Rb3Ho2ErTe6
_cell_length_a 7.8036
_cell_length_b 13.5166
_cell_length_c 8.9386
_cell_angle_alpha 90.00
_cell_angle_beta 106.92
_cell_angle_gamma 90.00
_space_group_name_H-M_alt 'C 1 2/m 1'
_space_group_IT_number 12
loop_
_space_group_symop_operation_xyz
'x,y,z'
'-x,-y,-z'
'-x,y,-z'
'x,-y,z'
'x+1/2,y+1/2,z'
'-x+1/2,-y+1/2,-z'
'-x+1/2,y+1/2,-z'
'x+1/2,-y+1/2,z'
loop_
_atom_site_label
_atom_site_type_symbol
_atom_site_fract_x
_atom_site_fract_y
_atom_site_fract_z
_atom_site_occupancy
Rb1 Rb 0.0000 0.0000 0.0000 1
Rb2 Rb 0.0000 0.3331 0.0000 1
Ho1 Ho 0.0000 0.1666 0.5000 1
Er1 Er 0.0000 0.5000 0.5000 1
Te1 Te 0.2323 0.3338 0.6982 1
Te2 Te 0.2337 0.0000 0.6983 1
```

Top 10 peaks for 10° ≤ 2θ ≤ 80°, by intensity:
- 26.74°, I 100, hkl 1 3 1
- 40.02°, I 37, hkl 0 6 0
- 36.26°, I 33, hkl 2 0 2
- 10.34°, I 31, hkl 0 0 1
- 48.79°, I 19, hkl 4 0 0
- 64.88°, I 16, hkl 4 6 0
- 33.55°, I 15, hkl 1 3 2
- 59.61°, I 10, hkl 3 3 3
- 45.30°, I 10, hkl 2 0 3
- 55.10°, I 10, hkl 2 6 2

[11]
Computed X-ray diffraction stick pattern of AsF3 for λ = 1.5418 Å (Cu Kα), from a structure optimized by DFT (GGA-PBE).
No peak broadening, texture or thermal motion is included.

Cell and atoms:
```
data_AsF3
_cell_length_a 7.0634
_cell_length_b 5.3336
_cell_length_c 7.4937
_cell_angle_alpha 90.00
_cell_angle_beta 90.00
_cell_angle_gamma 90.00
_space_group_name_H-M_alt 'P n a 21'
_space_group_IT_number 33
loop_
_space_group_symop_operation_xyz
'x,y,z'
'-x,-y,z+1/2'
'-x+1/2,y+1/2,z+1/2'
'x+1/2,-y+1/2,z'
loop_
_atom_site_label
_atom_site_type_symbol
_atom_site_fract_x
_atom_site_fract_y
_atom_site_fract_z
_atom_site_occupancy
As1 As 0.2163 0.0287 0.0000 1
F1 F 0.0677 0.3829 0.5629 1
F2 F 0.1679 0.7897 0.3984 1
F3 F 0.1970 0.8623 0.7950 1
```

Top 10 peaks for 10° ≤ 2θ ≤ 80°, by intensity:
- 24.05°, I 100, hkl 1 1 1
- 23.75°, I 27, hkl 0 0 2
- 41.94°, I 25, hkl 1 1 3
- 25.22°, I 24, hkl 2 0 0
- 34.91°, I 10, hkl 2 0 2
- 41.57°, I 10, hkl 0 2 2
- 49.24°, I 9, hkl 2 2 2
- 66.10°, I 8, hkl 1 1 5
- 43.73°, I 8, hkl 3 1 1
- 54.62°, I 7, hkl 1 3 1